[1]
Calculated powder XRD pattern
Compound: Ac2Al2Ge2P
Radiation: copper Kα
Structure: the PBE geometry in Alexandria

Atomic structure:
```
data_Ac2Al2Ge2P
_symmetry_space_group_name_H-M 'P -1'
_symmetry_Int_Tables_number 2
_cell_length_a 4.265
_cell_length_b 6.708
_cell_length_c 7.136
_cell_angle_alpha 67.16
_cell_angle_beta 72.78
_cell_angle_gamma 71.87
loop_
_symmetry_equiv_pos_as_xyz
'x,y,z'
'-x,-y,-z'
loop_
_atom_site_label
_atom_site_type_symbol
_atom_site_fract_x
_atom_site_fract_y
_atom_site_fract_z
Ac1 Ac 0.068 0.189 0.179
Al1 Al 0.288 0.335 0.588
Ge1 Ge 0.325 0.638 0.210
P1 P 0.500 0.000 0.500
```

Principal peaks in the range 2θ = 15–90°, most intense first:
d = 3.109 Å, rel. 100, hkl 1 0 -1
d = 3.152 Å, rel. 87, hkl 0 2 1
d = 2.788 Å, rel. 81, hkl 1 0 2
d = 3.962 Å, rel. 69, hkl 1 1 1
d = 2.725 Å, rel. 58, hkl 1 -1 1
d = 2.132 Å, rel. 44, hkl 2 1 1
d = 2.709 Å, rel. 43, hkl 1 2 0
d = 3.016 Å, rel. 42, hkl 0 2 0
d = 2.148 Å, rel. 33, hkl 0 0 3
d = 3.222 Å, rel. 32, hkl 0 0 2

***

[2]
Calculated powder XRD pattern
Compound: TbEr3Bi4
Radiation: copper Kα
Structure: the PBE geometry in Alexandria

Atomic structure:
```
data_TbEr3Bi4
_symmetry_space_group_name_H-M 'P m -3 m'
_symmetry_Int_Tables_number 221
_symmetry_space_group_name_Hall '-P 4 2 3'
_cell_length_a 6.296
_cell_length_b 6.296
_cell_length_c 6.296
_cell_angle_alpha 90.00
_cell_angle_beta 90.00
_cell_angle_gamma 90.00
loop_
_atom_site_label
_atom_site_type_symbol
_atom_site_fract_x
_atom_site_fract_y
_atom_site_fract_z
Tb1 Tb 0.000 0.000 0.000
Er1 Er 0.000 0.500 0.500
Bi1 Bi 0.000 0.000 0.500
Bi2 Bi 0.500 0.500 0.500
```

Principal peaks in the range 2θ = 15–90°, most intense first:
d = 3.148 Å, rel. 100, hkl 2 0 0
d = 2.226 Å, rel. 78, hkl 2 2 0
d = 1.408 Å, rel. 37, hkl 4 2 0
d = 1.817 Å, rel. 28, hkl 2 2 2
d = 1.285 Å, rel. 28, hkl 4 2 2
d = 1.574 Å, rel. 13, hkl 4 0 0
d = 1.113 Å, rel. 9, hkl 4 4 0
d = 3.635 Å, rel. 2, hkl 1 1 1
d = 1.898 Å, rel. 1, hkl 3 1 1
d = 1.444 Å, rel. 1, hkl 3 3 1

***

[3]
Calculated powder XRD pattern
Compound: Tl7Hg2As2
Radiation: copper Kα
Structure: the PBE geometry in Alexandria

Atomic structure:
```
data_Tl7Hg2As2
_symmetry_space_group_name_H-M 'I m m 2'
_symmetry_Int_Tables_number 44
_cell_length_a 4.438
_cell_length_b 16.216
_cell_length_c 9.221
_cell_angle_alpha 90.00
_cell_angle_beta 90.00
_cell_angle_gamma 90.00
loop_
_symmetry_equiv_pos_as_xyz
'x,y,z'
'-x,-y,z'
'-x,y,z'
'x,-y,z'
'x+1/2,y+1/2,z+1/2'
'-x+1/2,-y+1/2,z+1/2'
'-x+1/2,y+1/2,z+1/2'
'x+1/2,-y+1/2,z+1/2'
loop_
_atom_site_label
_atom_site_type_symbol
_atom_site_fract_x
_atom_site_fract_y
_atom_site_fract_z
Tl1 Tl 0.000 0.000 0.000
Tl2 Tl 0.000 0.149 0.402
Tl3 Tl 0.000 0.342 0.612
Tl4 Tl 0.000 0.349 0.208
Hg1 Hg 0.000 0.000 0.657
Hg2 Hg 0.000 0.500 0.850
As1 As 0.000 0.221 0.912
```

Principal peaks in the range 2θ = 15–90°, most intense first:
d = 2.752 Å, rel. 100, hkl 1 3 2
d = 2.847 Å, rel. 55, hkl 1 4 1
d = 2.703 Å, rel. 29, hkl 0 6 0
d = 2.219 Å, rel. 28, hkl 2 0 0
d = 3.020 Å, rel. 27, hkl 0 1 3
d = 2.672 Å, rel. 21, hkl 0 3 3
d = 3.586 Å, rel. 19, hkl 1 2 1
d = 3.137 Å, rel. 17, hkl 1 1 2
d = 1.570 Å, rel. 16, hkl 1 9 2
d = 1.715 Å, rel. 15, hkl 2 6 0

***

[4]
Calculated powder XRD pattern
Compound: Sm5Y3Hg2
Radiation: copper Kα
Structure: the PBE geometry in Alexandria

Atomic structure:
```
data_Sm5Y3Hg2
_symmetry_space_group_name_H-M 'I b a m'
_symmetry_Int_Tables_number 72
_symmetry_space_group_name_Hall '-I 2 2c'
_cell_length_a 11.606
_cell_length_b 16.308
_cell_length_c 6.829
_cell_angle_alpha 90.00
_cell_angle_beta 90.00
_cell_angle_gamma 90.00
loop_
_atom_site_label
_atom_site_type_symbol
_atom_site_fract_x
_atom_site_fract_y
_atom_site_fract_z
Sm1 Sm 0.000 0.000 0.250
Sm2 Sm 0.000 0.192 0.250
Sm3 Sm 0.229 0.058 0.000
Y1 Y 0.000 0.500 0.250
Y2 Y 0.222 0.328 0.000
Hg1 Hg 0.056 0.341 0.500
```

Principal peaks in the range 2θ = 15–90°, most intense first:
d = 2.806 Å, rel. 100, hkl 1 3 2
d = 2.596 Å, rel. 96, hkl 3 4 1
d = 2.943 Å, rel. 70, hkl 2 0 2
d = 2.901 Å, rel. 69, hkl 4 0 0
d = 5.803 Å, rel. 53, hkl 2 0 0
d = 3.351 Å, rel. 52, hkl 1 4 1
d = 2.620 Å, rel. 52, hkl 0 4 2
d = 2.635 Å, rel. 52, hkl 4 1 1
d = 2.462 Å, rel. 48, hkl 2 6 0
d = 2.312 Å, rel. 44, hkl 1 5 2

***

[5]
Calculated powder XRD pattern
Compound: Y8C5
Radiation: copper Kα
Structure: the PBE geometry in Alexandria

Atomic structure:
```
data_Y8C5
_symmetry_space_group_name_H-M 'C 1 2/m 1'
_symmetry_Int_Tables_number 12
_cell_length_a 12.171
_cell_length_b 7.172
_cell_length_c 8.649
_cell_angle_alpha 90.00
_cell_angle_beta 133.80
_cell_angle_gamma 90.00
loop_
_symmetry_equiv_pos_as_xyz
'x,y,z'
'-x,-y,-z'
'-x,y,-z'
'x,-y,z'
'x+1/2,y+1/2,z'
'-x+1/2,-y+1/2,-z'
'-x+1/2,y+1/2,-z'
'x+1/2,-y+1/2,z'
loop_
_atom_site_label
_atom_site_type_symbol
_atom_site_fract_x
_atom_site_fract_y
_atom_site_fract_z
Y1 Y 0.019 0.000 0.318
Y2 Y 0.028 0.500 0.335
Y3 Y 0.218 0.237 0.165
C1 C 0.000 0.000 0.000
C2 C 0.000 0.257 0.500
C3 C 0.231 0.500 0.997
```

Principal peaks in the range 2θ = 15–90°, most intense first:
d = 2.760 Å, rel. 100, hkl 2 0 -3
d = 2.778 Å, rel. 76, hkl 2 2 0
d = 3.042 Å, rel. 47, hkl 4 0 -2
d = 2.166 Å, rel. 31, hkl 4 2 -3
d = 2.795 Å, rel. 31, hkl 2 0 1
d = 1.800 Å, rel. 28, hkl 0 2 3
d = 1.705 Å, rel. 22, hkl 6 2 -2
d = 3.109 Å, rel. 21, hkl 0 2 1
d = 2.196 Å, rel. 17, hkl 4 0 0
d = 1.793 Å, rel. 14, hkl 0 4 0

***

[6]
Calculated powder XRD pattern
Compound: Hf8Sc
Radiation: copper Kα
Structure: the PBE geometry in Alexandria

Atomic structure:
```
data_Hf8Sc
_symmetry_space_group_name_H-M 'I 4/m m m'
_symmetry_Int_Tables_number 139
_symmetry_space_group_name_Hall '-I 4 2'
_cell_length_a 9.498
_cell_length_b 9.498
_cell_length_c 4.489
_cell_angle_alpha 90.00
_cell_angle_beta 90.00
_cell_angle_gamma 90.00
loop_
_atom_site_label
_atom_site_type_symbol
_atom_site_fract_x
_atom_site_fract_y
_atom_site_fract_z
Hf1 Hf 0.000 0.335 0.000
Hf2 Hf 0.169 0.169 0.500
Sc1 Sc 0.000 0.000 0.000
```

Principal peaks in the range 2θ = 15–90°, most intense first:
d = 2.587 Å, rel. 100, hkl 3 0 1
d = 1.584 Å, rel. 34, hkl 3 3 2
d = 2.239 Å, rel. 33, hkl 3 3 0
d = 1.350 Å, rel. 27, hkl 6 3 1
d = 2.244 Å, rel. 17, hkl 0 0 2
d = 1.353 Å, rel. 13, hkl 3 0 3
d = 1.294 Å, rel. 12, hkl 6 0 2
d = 1.119 Å, rel. 4, hkl 6 6 0
d = 3.085 Å, rel. 2, hkl 2 1 1
d = 4.058 Å, rel. 2, hkl 1 0 1